# KYMg3
Computed powder X-ray diffraction pattern, a wavelength of 1.5418 Å. Input: a structure optimized by DFT (PBE).

Top 10 peaks for 2θ from 15° to 90°, sorted by position:
| (hkl) | two_theta | I/Imax |
| --- | --- | --- |
| 1 1 0 | 20.4 | 100 |
| 2 0 0 | 29.1 | 79 |
| 2 1 0 | 32.6 | 30 |
| 2 1 1 | 35.8 | 45 |
| 2 2 0 | 41.6 | 57 |
| 3 1 0 | 46.7 | 20 |
| 2 2 2 | 51.5 | 20 |
| 3 2 1 | 56.0 | 23 |
| 4 2 0 | 68.2 | 24 |
| 4 2 2 | 75.8 | 18 |

Cell and atoms:
Cell: 6.1456 6.1456 6.1456 Å, 90.00 90.00 90.00°
Fractional coordinates of all 5 atoms:
K: 0.0000 0.0000 0.0000
Y: 0.5000 0.5000 0.5000
Mg: 0.0000 0.5000 0.5000
Mg: 0.5000 0.0000 0.5000
Mg: 0.5000 0.5000 0.0000